Structure and calculated XRD peak list of Hf4GaCo (the GGA-PBE geometry in OQMD; λ = 1.5418 Å (Cu Kα)).
Intensities are scaled so that the largest is 100.

Structural model:
```
Hf4GaCo
1.0
-3.2646 3.2646 2.6118
3.2646 -3.2646 2.6118
3.2646 3.2646 -2.6118
Hf Ga Co
4 1 1
Cartesian
2.2180 -1.0465 1.3059 Hf
4.3111 1.0465 1.3059 Hf
1.0465 2.2180 1.3059 Hf
-1.0465 4.3111 1.3059 Hf
0.0000 0.0000 0.0000 Ga
0.0000 0.0000 2.6118 Co
```

Main lines, sorted by position (2θ from 10° to 90°):
2theta	Rel. int.
34.33	15
35.21	100
39.65	14
43.85	24
44.42	17
61.16	15
62.06	20
67.69	9
71.10	15
81.50	12



Structure and calculated XRD peak list of AcHgPd (the GGA-PBE geometry in OQMD; λ = 1.5418 Å (Cu Kα)).
Intensities are scaled so that the largest is 100.

Structural model:
```
AcHgPd
1.0
0.0000 3.5365 3.5365
3.5365 0.0000 3.5365
3.5365 3.5365 0.0000
Ac Hg Pd
1 1 1
Cartesian
0.0000 0.0000 0.0000 Ac
3.5365 3.5365 3.5365 Hg
1.7683 1.7683 1.7683 Pd
```

Main lines, sorted by position (2θ from 10° to 90°):
2theta	Rel. int.
21.76	11
25.18	42
35.91	100
44.37	13
51.70	18
58.34	18
64.55	37
76.13	12
81.68	9
87.16	17



Structure and calculated XRD peak list of Ho6Er2Te (the GGA-PBE geometry in OQMD; λ = 1.5418 Å (Cu Kα)).
Intensities are scaled so that the largest is 100.

Structural model:
```
Ho6Er2Te
1.0
9.1566 0.0000 0.0000
-4.5783 7.9298 0.0000
0.0000 0.0000 3.7520
Ho Er Te
6 2 1
Cartesian
-1.2563 2.1760 0.0000 Ho
-2.8217 4.8873 1.8760 Ho
2.5126 0.0000 0.0000 Ho
1.7566 3.0426 1.8760 Ho
5.6433 0.0000 1.8760 Ho
3.3220 5.7538 0.0000 Ho
0.0000 5.2866 0.0000 Er
4.5783 2.6433 0.0000 Er
0.0000 0.0000 1.8760 Te
```

Main lines, sorted by position (2θ from 10° to 90°):
2theta	Rel. int.
29.81	39
30.81	100
32.86	56
33.91	79
38.44	28
46.47	13
48.53	16
56.19	37
60.52	30
63.70	13



Structure and calculated XRD peak list of Zr3Ni4Au4 (the GGA-PBE geometry in OQMD; λ = 1.5418 Å (Cu Kα)).
Intensities are scaled so that the largest is 100.

Structural model:
```
Zr3Ni4Au4
1.0
-2.9075 2.9075 6.2073
2.9075 -2.9075 6.2073
2.9075 2.9075 -6.2073
Zr Ni Au
3 4 4
Cartesian
0.0000 0.0000 0.0000 Zr
2.9075 0.0000 3.1037 Zr
0.0000 2.9075 3.1037 Zr
1.2332 -1.2332 4.7598 Ni
1.6743 1.6743 1.4475 Ni
-1.2332 1.2332 4.7598 Ni
1.2332 1.2332 7.6548 Ni
2.9075 0.0000 0.0000 Au
0.0000 0.0000 2.8098 Au
0.0000 2.9075 0.0000 Au
0.0000 0.0000 9.6048 Au
```

Main lines, sorted by position (2θ from 10° to 90°):
2theta	Rel. int.
25.99	73
28.76	26
30.75	56
39.46	14
42.61	100
44.05	49
51.86	22
53.46	22
64.06	17
80.00	27



Structure and calculated XRD peak list of Cs2InAgI6 (the GGA-PBE geometry in OQMD; λ = 1.5418 Å (Cu Kα)).
Intensities are scaled so that the largest is 100.

Structural model:
```
Cs2InAgI6
1.0
7.3215 -4.2285 0.0000
7.3215 4.2285 0.0000
-4.8795 0.0000 6.9044
Cs In Ag I
2 1 1 6
Cartesian
2.4440 0.0000 1.7258 Cs
7.3195 0.0000 5.1786 Cs
-2.4398 0.0000 3.4522 In
7.3215 0.0000 0.0000 Ag
3.6591 2.1229 5.1680 I
-0.0130 0.0000 5.1794 I
6.1044 2.1229 1.7363 I
3.6591 -2.1229 5.1680 I
9.7765 0.0000 1.7249 I
6.1044 -2.1229 1.7363 I
```

Main lines, sorted by position (2θ from 10° to 90°):
2theta	Rel. int.
14.82	17
21.01	18
25.81	77
29.89	100
42.78	74
50.63	36
53.06	26
68.39	15
70.43	33
78.34	25



Structure and calculated XRD peak list of ErTmGa4Au2 (the GGA-PBE geometry in OQMD; λ = 1.5418 Å (Cu Kα)).
Intensities are scaled so that the largest is 100.

Structural model:
```
ErTmGa4Au2
1.0
6.6491 0.0000 0.0000
0.0000 2.2387 5.1509
0.0000 -2.2387 5.1509
Er Tm Ga Au
1 1 4 2
Cartesian
0.0000 0.0000 0.0000 Er
3.3245 0.0000 8.4208 Tm
1.3371 0.0000 2.9782 Ga
1.9903 0.0000 5.4455 Ga
4.6588 0.0000 5.4455 Ga
5.3120 0.0000 2.9782 Ga
0.0000 0.0000 7.2976 Au
3.3245 0.0000 1.1256 Au
```

Main lines, sorted by position (2θ from 10° to 90°):
2theta	Rel. int.
26.82	31
34.72	88
35.61	100
37.45	41
40.28	46
42.91	40
54.63	16
55.26	18
56.17	26
70.57	17



Structure and calculated XRD peak list of GdTmMg6 (the GGA-PBE geometry in OQMD; λ = 1.5418 Å (Cu Kα)).
Intensities are scaled so that the largest is 100.

Structural model:
```
GdTmMg6
1.0
5.1583 0.0000 0.0000
0.0000 5.1583 0.0000
0.0000 0.0000 7.3288
Gd Tm Mg
1 1 6
Cartesian
0.0000 0.0000 0.0000 Gd
2.5792 2.5792 3.6644 Tm
0.0000 0.0000 3.6644 Mg
0.0000 2.5792 1.8554 Mg
0.0000 2.5792 5.4734 Mg
2.5792 0.0000 1.8554 Mg
2.5792 0.0000 5.4734 Mg
2.5792 2.5792 0.0000 Mg
```

Main lines, sorted by position (2θ from 10° to 90°):
2theta	Rel. int.
21.06	75
24.29	13
24.40	26
34.73	100
40.87	14
41.02	27
42.88	12
54.73	12
62.15	12
62.30	24